Computed X-ray diffraction stick pattern of Tb5Ir4 for copper Kα, from a DFT-relaxed cell (PBE, Alexandria).
No peak broadening, texture or thermal motion is included.

Structure:
```
data_Tb5Ir4
_chemical_formula_sum 'Tb10 Ir8'
_cell_length_a 10.5232
_cell_length_b 4.2918
_cell_length_c 9.8382
_cell_angle_alpha 90.00
_cell_angle_beta 112.09
_cell_angle_gamma 90.00
_space_group_name_H-M_alt 'C 1 2/m 1'
_space_group_IT_number 12
_space_group_name_Hall '-C 2y'
loop_
_atom_site_label
_atom_site_fract_x
_atom_site_fract_y
_atom_site_fract_z
Tb1 0.0000 0.0000 0.0000
Tb2 0.1096 0.0000 0.3966
Tb3 0.2444 0.0000 0.8215
Ir1 0.0507 0.5000 0.8514
Ir2 0.1171 0.5000 0.6173
```

Most intense lines, 2θ = 10–90°, by intensity:
index  2θ/deg  I (rel.)
1 1 2  32.26  100.0
3 1 -1  32.98  93.4
1 1 -3  34.47  90.4
3 1 -3  38.30  84.5
0 2 0  42.11  75.9
3 1 1  38.88  69.8

***

Computed X-ray diffraction stick pattern of Tb5Ir3 for copper Kα, from a DFT-relaxed cell (PBE, Alexandria).
No peak broadening, texture or thermal motion is included.

Structure:
```
data_Tb5Ir3
_chemical_formula_sum 'Tb20 Ir12'
_cell_length_a 10.9436
_cell_length_b 10.9436
_cell_length_c 6.4039
_cell_angle_alpha 90.00
_cell_angle_beta 90.00
_cell_angle_gamma 90.00
_space_group_name_H-M_alt 'P 4/n c c'
_space_group_IT_number 130
loop_
_space_group_symop_operation_xyz
'x,y,z'
'-x,-y,-z'
'-y+1/2,x,z'
'y+1/2,-x,-z'
'-x+1/2,-y+1/2,z'
'x+1/2,y+1/2,-z'
'y,-x+1/2,z'
'-y,x+1/2,-z'
'x+1/2,-y,-z+1/2'
'-x+1/2,y,z+1/2'
'-y,-x,-z+1/2'
'y,x,z+1/2'
'-x,y+1/2,-z+1/2'
'x,-y+1/2,z+1/2'
'y+1/2,x+1/2,-z+1/2'
'-y+1/2,-x+1/2,z+1/2'
loop_
_atom_site_label
_atom_site_fract_x
_atom_site_fract_y
_atom_site_fract_z
Tb1 0.0419 0.1614 0.1189
Tb2 0.2500 0.7500 0.0000
Ir1 0.0964 0.5964 0.7500
Ir2 0.2500 0.2500 0.3743
```

Most intense lines, 2θ = 10–90°, by intensity:
index  2θ/deg  I (rel.)
4 2 0  36.69  100.0
2 1 2  33.44  41.9
3 1 1  29.34  38.2
3 2 1  32.65  32.8
3 1 2  38.30  29.0
2 1 3  46.41  22.3

***

Computed X-ray diffraction stick pattern of Tb7Te2Ir2 for copper Kα, from a DFT-relaxed cell (PBE, Alexandria).
No peak broadening, texture or thermal motion is included.

Structure:
```
data_Tb7Te2Ir2
_chemical_formula_sum 'Tb14 Te4 Ir4'
_cell_length_a 3.9667
_cell_length_b 15.9196
_cell_length_c 9.5060
_cell_angle_alpha 90.00
_cell_angle_beta 90.00
_cell_angle_gamma 90.00
_space_group_name_H-M_alt 'I m m 2'
_space_group_IT_number 44
_space_group_name_Hall 'I 2 -2'
loop_
_atom_site_label
_atom_site_fract_x
_atom_site_fract_y
_atom_site_fract_z
Tb1 0.0000 0.0000 0.0000
Tb2 0.0000 0.1309 0.5827
Tb3 0.0000 0.3162 0.3742
Tb4 0.0000 0.3525 0.7333
Te1 0.0000 0.0000 0.3349
Te2 0.0000 0.5000 0.2373
Ir1 0.0000 0.2394 0.0724
```

Most intense lines, 2θ = 10–90°, by intensity:
index  2θ/deg  I (rel.)
1 4 1  33.25  100.0
0 3 3  32.92  42.5
1 3 2  33.94  37.1
1 1 2  29.87  34.5
1 2 3  38.07  28.0
2 0 0  45.75  26.1